Sr2CdH: computed PXRD pattern (a wavelength of 1.5418 Å), based on DFT lattice parameters and positions (PBE).

The 10 most intense peaks (10 to 90 degrees two-theta), sorted by position:
2θ (°), intensity
12.70, 10
28.94, 100
30.57, 23
30.72, 23
39.00, 11
43.89, 17
50.21, 16
53.34, 16
53.53, 17
59.99, 12

Cell and atoms:
a = 7.557 Å, b = 7.557 Å, c = 5.821 Å
α = 90.00°, β = 90.00°, γ = 134.47°
Positions (direct):
Sr: 0.127 0.335 0.000
Sr: 0.335 0.127 0.500
Sr: 0.665 0.873 0.500
Sr: 0.873 0.665 0.000
Cd: 0.000 0.500 0.500
Cd: 0.500 0.000 0.000
H: 0.000 0.000 0.250
H: 0.000 0.000 0.750

***

K3Hg4Pd2: computed PXRD pattern (a wavelength of 1.5418 Å), based on DFT lattice parameters and positions (PBE).

The 10 most intense peaks (10 to 90 degrees two-theta), sorted by position:
2θ (°), intensity
14.42, 48
18.57, 49
27.09, 29
28.65, 45
29.19, 100
30.70, 35
36.54, 35
37.42, 43
41.26, 37
43.83, 35

Cell and atoms:
a = 6.663 Å, b = 6.663 Å, c = 9.257 Å
α = 98.06°, β = 98.06°, γ = 42.29°
Positions (direct):
K: 0.000 0.000 0.000
K: 0.395 0.395 0.307
K: 0.605 0.605 0.693
Hg: 0.105 0.105 0.368
Hg: 0.290 0.290 0.893
Hg: 0.710 0.710 0.107
Hg: 0.895 0.895 0.632
Pd: 0.285 0.285 0.592
Pd: 0.715 0.715 0.408

***

La2Sm3Sc: computed PXRD pattern (a wavelength of 1.5418 Å), based on DFT lattice parameters and positions (PBE).

The 10 most intense peaks (10 to 90 degrees two-theta), sorted by position:
2θ (°), intensity
25.33, 17
31.22, 100
31.34, 84
31.45, 42
40.74, 30
44.78, 12
44.89, 25
55.71, 34
55.90, 29
62.01, 35

Cell and atoms:
a = 7.033 Å, b = 9.899 Å, c = 5.689 Å
α = 90.00°, β = 90.00°, γ = 90.00°
Positions (direct):
La: 0.245 0.168 0.000
La: 0.255 0.668 0.500
La: 0.745 0.332 0.500
La: 0.755 0.832 0.000
Sm: 0.000 0.500 0.000
Sm: 0.249 0.833 0.000
Sm: 0.251 0.333 0.500
Sm: 0.500 0.000 0.500
Sm: 0.749 0.667 0.500
Sm: 0.751 0.167 0.000
Sc: 0.000 0.000 0.500
Sc: 0.500 0.500 0.000

***

PmTmCd17: computed PXRD pattern (a wavelength of 1.5418 Å), based on DFT lattice parameters and positions (PBE).

The 10 most intense peaks (10 to 90 degrees two-theta), sorted by position:
2θ (°), intensity
30.82, 27
31.46, 14
35.76, 100
35.86, 19
36.32, 25
40.17, 28
47.96, 9
51.48, 8
54.80, 8
64.38, 13

Cell and atoms:
a = 7.666 Å, b = 7.666 Å, c = 7.666 Å
α = 81.93°, β = 81.93°, γ = 81.93°
Positions (direct):
Pm: 0.000 0.000 0.000
Tm: 0.654 0.654 0.654
Cd: 0.025 0.334 0.633
Cd: 0.025 0.633 0.334
Cd: 0.211 0.675 0.675
Cd: 0.240 0.240 0.240
Cd: 0.306 0.306 0.859
Cd: 0.306 0.859 0.306
Cd: 0.334 0.025 0.633
Cd: 0.334 0.633 0.025
Cd: 0.435 0.435 0.435
Cd: 0.547 0.949 0.949
Cd: 0.633 0.025 0.334
Cd: 0.633 0.334 0.025
Cd: 0.675 0.211 0.675
Cd: 0.675 0.675 0.211
Cd: 0.859 0.306 0.306
Cd: 0.949 0.547 0.949
Cd: 0.949 0.949 0.547

***

AcPrZnHg: computed PXRD pattern (a wavelength of 1.5418 Å), based on DFT lattice parameters and positions (PBE).

The 10 most intense peaks (10 to 90 degrees two-theta), sorted by position:
2θ (°), intensity
11.37, 5
25.67, 12
32.63, 100
46.68, 5
46.87, 13
48.31, 5
58.14, 11
58.26, 25
68.31, 7
77.92, 11

Cell and atoms:
a = 3.877 Å, b = 3.877 Å, c = 7.783 Å
α = 90.00°, β = 90.00°, γ = 90.00°
Positions (direct):
Ac: 0.000 0.000 0.000
Pr: 0.000 0.000 0.469
Zn: 0.500 0.500 0.255
Hg: 0.500 0.500 0.716

***

Tb2Pm5Nd12: computed PXRD pattern (a wavelength of 1.5418 Å), based on DFT lattice parameters and positions (PBE).

The 10 most intense peaks (10 to 90 degrees two-theta), sorted by position:
2θ (°), intensity
29.85, 100
30.44, 35
30.76, 36
33.26, 36
35.90, 47
49.53, 17
49.95, 19
50.71, 12
57.33, 14
62.00, 12

Cell and atoms:
a = 11.848 Å, b = 11.848 Å, c = 8.844 Å
α = 109.22°, β = 109.22°, γ = 35.38°
Positions (direct):
Tb: 0.243 0.757 0.000
Tb: 0.757 0.243 0.000
Pm: 0.150 0.150 0.096
Pm: 0.251 0.251 0.510
Pm: 0.500 0.500 0.500
Pm: 0.749 0.749 0.490
Pm: 0.850 0.850 0.904
Nd: 0.047 0.552 0.206
Nd: 0.048 0.048 0.696
Nd: 0.138 0.650 0.616
Nd: 0.350 0.862 0.384
Nd: 0.357 0.357 0.940
Nd: 0.448 0.953 0.794
Nd: 0.552 0.047 0.206
Nd: 0.643 0.643 0.060
Nd: 0.650 0.138 0.616
Nd: 0.862 0.350 0.384
Nd: 0.952 0.952 0.304
Nd: 0.953 0.448 0.794

***

Zr4VZn3: computed PXRD pattern (a wavelength of 1.5418 Å), based on DFT lattice parameters and positions (PBE).

The 10 most intense peaks (10 to 90 degrees two-theta), sorted by position:
2θ (°), intensity
26.58, 4
26.78, 2
37.94, 51
38.09, 100
54.74, 17
55.17, 8
68.63, 33
68.92, 16
81.11, 5
81.47, 10

Cell and atoms:
a = 3.354 Å, b = 3.354 Å, c = 13.318 Å
α = 90.00°, β = 90.00°, γ = 90.00°
Positions (direct):
Zr: 0.000 0.000 0.122
Zr: 0.000 0.000 0.374
Zr: 0.000 0.000 0.626
Zr: 0.000 0.000 0.878
V: 0.500 0.500 0.000
Zn: 0.500 0.500 0.249
Zn: 0.500 0.500 0.500
Zn: 0.500 0.500 0.751

***

TmSbF: computed PXRD pattern (a wavelength of 1.5418 Å), based on DFT lattice parameters and positions (PBE).

The 10 most intense peaks (10 to 90 degrees two-theta), sorted by position:
2θ (°), intensity
17.86, 44
26.25, 51
29.94, 65
30.05, 100
32.36, 57
34.68, 94
38.49, 70
43.99, 28
45.21, 34
55.43, 29

Cell and atoms:
a = 5.887 Å, b = 5.887 Å, c = 6.509 Å
α = 112.02°, β = 112.02°, γ = 39.84°
Positions (direct):
Tm: 0.183 0.183 0.234
Tm: 0.817 0.817 0.766
Sb: 0.455 0.455 0.185
Sb: 0.545 0.545 0.815
F: 0.222 0.222 0.600
F: 0.778 0.778 0.400

***

K3TiCd: computed PXRD pattern (a wavelength of 1.5418 Å), based on DFT lattice parameters and positions (PBE).

The 10 most intense peaks (10 to 90 degrees two-theta), sorted by position:
2θ (°), intensity
13.54, 72
19.20, 84
27.28, 100
30.58, 42
33.58, 41
38.97, 73
41.43, 22
48.22, 25
52.36, 23
63.65, 30

Cell and atoms:
a = 6.538 Å, b = 6.538 Å, c = 6.538 Å
α = 90.00°, β = 90.00°, γ = 90.00°
Positions (direct):
K: 0.000 0.000 0.500
K: 0.000 0.500 0.000
K: 0.500 0.000 0.000
Ti: 0.500 0.500 0.500
Cd: 0.000 0.000 0.000

***

Ac3La2In2: computed PXRD pattern (a wavelength of 1.5418 Å), based on DFT lattice parameters and positions (PBE).

The 10 most intense peaks (10 to 90 degrees two-theta), sorted by position:
2θ (°), intensity
29.74, 100
30.69, 18
35.56, 17
36.92, 15
47.27, 8
48.75, 10
52.20, 11
56.83, 18
60.25, 9
62.15, 13

Cell and atoms:
a = 13.606 Å, b = 13.606 Å, c = 3.846 Å
α = 90.00°, β = 90.00°, γ = 159.38°
Positions (direct):
Ac: 0.000 0.000 0.000
Ac: 0.138 0.862 0.000
Ac: 0.862 0.138 0.000
La: 0.285 0.715 0.500
La: 0.715 0.285 0.500
In: 0.426 0.574 0.500
In: 0.574 0.426 0.500

***

Ac3ScTl6: computed PXRD pattern (a wavelength of 1.5418 Å), based on DFT lattice parameters and positions (PBE).

The 10 most intense peaks (10 to 90 degrees two-theta), sorted by position:
2θ (°), intensity
23.43, 15
28.56, 35
29.08, 96
31.48, 100
31.70, 40
34.38, 17
40.53, 22
41.89, 27
54.58, 20
58.89, 15

Cell and atoms:
a = 8.744 Å, b = 8.744 Å, c = 8.744 Å
α = 97.56°, β = 97.56°, γ = 97.56°
Positions (direct):
Ac: 0.184 0.750 0.316
Ac: 0.250 0.684 0.816
Ac: 0.316 0.184 0.750
Ac: 0.684 0.816 0.250
Ac: 0.750 0.316 0.184
Ac: 0.816 0.250 0.684
Sc: 0.000 0.000 0.000
Sc: 0.500 0.500 0.500
Tl: 0.018 0.085 0.353
Tl: 0.085 0.353 0.018
Tl: 0.147 0.415 0.482
Tl: 0.353 0.018 0.085
Tl: 0.415 0.482 0.147
Tl: 0.482 0.147 0.415
Tl: 0.518 0.853 0.585
Tl: 0.585 0.518 0.853
Tl: 0.647 0.982 0.915
Tl: 0.853 0.585 0.518
Tl: 0.915 0.647 0.982
Tl: 0.982 0.915 0.647

***

Ce2Nd2GaGe4: computed PXRD pattern (a wavelength of 1.5418 Å), based on DFT lattice parameters and positions (PBE).

The 10 most intense peaks (10 to 90 degrees two-theta), sorted by position:
2θ (°), intensity
24.87, 23
32.37, 100
33.29, 23
35.46, 72
42.00, 23
51.01, 25
55.66, 16
61.72, 31
78.20, 12
85.82, 11

Cell and atoms:
a = 6.680 Å, b = 6.680 Å, c = 6.680 Å
α = 115.17°, β = 115.17°, γ = 98.59°
Positions (direct):
Ce: 0.181 0.181 0.000
Ce: 0.819 0.819 0.000
Nd: 0.250 0.750 0.500
Nd: 0.750 0.250 0.500
Ga: 0.500 0.500 0.000
Ge: 0.253 0.253 0.506
Ge: 0.253 0.747 0.000
Ge: 0.747 0.253 0.000
Ge: 0.747 0.747 0.494

***

HoInSn: computed PXRD pattern (a wavelength of 1.5418 Å), based on DFT lattice parameters and positions (PBE).

The 10 most intense peaks (10 to 90 degrees two-theta), sorted by position:
2θ (°), intensity
30.17, 78
33.72, 84
35.05, 100
35.27, 57
47.08, 51
55.88, 20
56.79, 25
64.00, 27
69.71, 27
74.06, 24

Cell and atoms:
a = 5.187 Å, b = 5.187 Å, c = 6.348 Å
α = 90.00°, β = 90.00°, γ = 110.34°
Positions (direct):
Ho: 0.177 0.823 0.750
Ho: 0.823 0.177 0.250
In: 0.185 0.815 0.250
In: 0.815 0.185 0.750
Sn: 0.500 0.500 0.000
Sn: 0.500 0.500 0.500

***

CaNiSn6: computed PXRD pattern (a wavelength of 1.5418 Å), based on DFT lattice parameters and positions (PBE).

The 10 most intense peaks (10 to 90 degrees two-theta), sorted by position:
2θ (°), intensity
33.37, 100
33.81, 25
34.28, 15
37.47, 13
41.92, 20
43.66, 13
44.89, 12
54.90, 13
60.20, 15
71.14, 15

Cell and atoms:
a = 4.310 Å, b = 6.958 Å, c = 6.958 Å
α = 80.70°, β = 90.00°, γ = 90.00°
Positions (direct):
Ca: 0.000 0.000 0.000
Ni: 0.000 0.619 0.619
Sn: 0.000 0.006 0.495
Sn: 0.000 0.495 0.006
Sn: 0.500 0.240 0.240
Sn: 0.500 0.330 0.681
Sn: 0.500 0.681 0.330
Sn: 0.500 0.773 0.773